Structure and simulated XRD peak list of Kr (a DFT-relaxed cell (GGA-PBE, Alexandria); CuKα).
Neutral-atom scattering factors, no anomalous dispersion.

Peak list (10 most intense, 10 to 80 degrees two-theta, by angle)
- (1 0 1), 23.90°, d 3.724, I = 36
- (0 0 9), 24.91°, d 3.575, I = 53
- (1 0 4), 26.23°, d 3.398, I = 100
- (0 1 5), 27.54°, d 3.239, I = 88
- (1 1 0), 41.73°, d 2.164, I = 39
- (1 0 13), 43.83°, d 2.065, I = 24
- (0 1 14), 46.34°, d 1.959, I = 20
- (1 1 9), 49.21°, d 1.851, I = 47
- (0 2 4), 49.96°, d 1.825, I = 16
- (1 1 18), 68.03°, d 1.378, I = 18

Cell and atoms:
Lattice parameters (Å, degrees): 4.3287 4.3287 32.1732 90.00 90.00 120.00
Space group R-3m (No. 166, hexagonal axes)
Unique sites:
Kr  0.0000  0.0000  0.0000 x3
Kr  0.0000  0.0000  0.2222 x6

Structure and simulated XRD peak list of GaHg2Au2 (a DFT-relaxed cell (GGA-PBE, Alexandria); CuKα).
Neutral-atom scattering factors, no anomalous dispersion.

Peak list (10 most intense, 10 to 80 degrees two-theta, by angle)
- (0 0 2), 11.98°, d 7.386, I = 29
- (1 0 1), 23.44°, d 3.795, I = 46
- (1 1 2), 34.51°, d 2.599, I = 100
- (0 0 6), 36.50°, d 2.462, I = 26
- (1 0 5), 38.12°, d 2.361, I = 48
- (1 1 4), 40.65°, d 2.219, I = 73
- (2 0 0), 46.24°, d 1.963, I = 47
- (2 0 6), 60.30°, d 1.535, I = 25
- (2 1 5), 61.42°, d 1.510, I = 24
- (1 1 10), 72.48°, d 1.304, I = 27

Cell and atoms:
Lattice parameters (Å, degrees): 3.927 3.927 14.771 90.00 90.00 90.00
Space group I4/mmm (No. 139)
Unique sites:
Ga  0.000  0.000  0.000 x2
Hg  0.000  0.000  0.401 x4
Au  0.000  0.500  0.250 x4

Structure and simulated XRD peak list of AcLa2In2Cu2 (a DFT-relaxed cell (GGA-PBE, Alexandria); CuKα).
Neutral-atom scattering factors, no anomalous dispersion.

Peak list (10 most intense, 10 to 80 degrees two-theta, by angle)
- (1 0 1), 21.92°, d 4.054, I = 33
- (1 0 7), 30.59°, d 2.923, I = 100
- (0 1 8), 32.86°, d 2.725, I = 60
- (1 1 0), 38.07°, d 2.364, I = 87
- (0 2 7), 49.60°, d 1.838, I = 26
- (2 0 8), 51.16°, d 1.786, I = 17
- (1 1 15), 61.71°, d 1.503, I = 24
- (2 1 7), 64.20°, d 1.451, I = 24
- (1 2 8), 65.52°, d 1.425, I = 17
- (3 0 0), 68.80°, d 1.365, I = 15

Cell and atoms:
Lattice parameters (Å, degrees): 4.7270 4.7270 29.2174 90.00 90.00 120.00
Space group R-3m (No. 166, hexagonal axes)
Unique sites:
Ac  0.0000  0.0000  0.0000 x3
La  0.0000  0.0000  0.1368 x6
In  0.0000  0.0000  0.2587 x6
Cu  0.0000  0.0000  0.4165 x6